This entry pairs a crystal structure of Ba2MgUO6 with its theoretical PXRD pattern. Radiation: Cu Kα. Structure: the GGA-PBE geometry in the Materials Project.
Neutral-atom scattering factors, no anomalous dispersion.

Most intense lines, 10° ≤ 2θ ≤ 90°, most intense first:
2θ 29.81, I = 100; 2θ 52.91, I = 42; 2θ 18.12, I = 38; 2θ 42.66, I = 30; 2θ 85.76, I = 23; 2θ 35.10, I = 23

Atomic structure:
```
data_Ba2MgUO6
_cell_length_a 8.478
_cell_length_b 8.478
_cell_length_c 8.478
_cell_angle_alpha 90.00
_cell_angle_beta 90.00
_cell_angle_gamma 90.00
_space_group_name_H-M_alt 'F m -3 m'
_space_group_IT_number 225
_space_group_name_Hall '-F 4 2 3'
loop_
_atom_site_label
_atom_site_fract_x
_atom_site_fract_y
_atom_site_fract_z
Ba1 0.250 0.250 0.250
Mg1 0.000 0.000 0.000
U1 0.000 0.000 0.500
O1 0.000 0.000 0.253
```

***

This entry pairs a crystal structure of BaMg6ZnO8 with its theoretical PXRD pattern. Radiation: Cu Kα. Structure: the GGA-PBE geometry in the Materials Project.
Neutral-atom scattering factors, no anomalous dispersion.

Most intense lines, 10° ≤ 2θ ≤ 90°, most intense first:
2θ 38.25, I = 100; 2θ 33.86, I = 59; 2θ 18.86, I = 57; 2θ 57.57, I = 50; 2θ 27.86, I = 47; 2θ 41.33, I = 36

Atomic structure:
```
data_BaMg6ZnO8
_cell_length_a 4.706
_cell_length_b 4.706
_cell_length_c 8.737
_cell_angle_alpha 90.00
_cell_angle_beta 90.00
_cell_angle_gamma 90.00
_space_group_name_H-M_alt 'P 4/m m m'
_space_group_IT_number 123
_space_group_name_Hall '-P 4 2'
loop_
_atom_site_label
_atom_site_fract_x
_atom_site_fract_y
_atom_site_fract_z
Ba1 0.000 0.000 0.000
Mg1 0.000 0.500 0.267
Mg2 0.500 0.500 0.000
Mg3 0.500 0.500 0.500
Zn1 0.000 0.000 0.500
O1 0.000 0.000 0.282
O2 0.000 0.500 0.000
O3 0.000 0.500 0.500
O4 0.500 0.500 0.252
```

***

This entry pairs a crystal structure of BaMg6ZnO8 with its theoretical PXRD pattern. Radiation: Cu Kα. Structure: the GGA-PBE geometry in the Materials Project.
Neutral-atom scattering factors, no anomalous dispersion.

Most intense lines, 10° ≤ 2θ ≤ 90°, most intense first:
2θ 38.66, I = 100; 2θ 10.00, I = 89; 2θ 33.93, I = 61; 2θ 57.47, I = 52; 2θ 28.92, I = 43; 2θ 40.81, I = 39

Atomic structure:
```
data_BaMg6ZnO8
_cell_length_a 4.658
_cell_length_b 4.658
_cell_length_c 8.845
_cell_angle_alpha 90.00
_cell_angle_beta 90.00
_cell_angle_gamma 90.00
_space_group_name_H-M_alt 'P 4/m m m'
_space_group_IT_number 123
_space_group_name_Hall '-P 4 2'
loop_
_atom_site_label
_atom_site_fract_x
_atom_site_fract_y
_atom_site_fract_z
Ba1 0.000 0.000 0.000
Mg1 0.000 0.000 0.500
Mg2 0.000 0.500 0.265
Mg3 0.500 0.500 0.500
Zn1 0.500 0.500 0.000
O1 0.000 0.000 0.283
O2 0.000 0.500 0.000
O3 0.000 0.500 0.500
O4 0.500 0.500 0.254
```

***

This entry pairs a crystal structure of BaMg2P2 with its theoretical PXRD pattern. Radiation: Cu Kα. Structure: the GGA-PBE geometry in the Materials Project.
Neutral-atom scattering factors, no anomalous dispersion.

Most intense lines, 10° ≤ 2θ ≤ 90°, most intense first:
2θ 26.19, I = 100; 2θ 33.29, I = 57; 2θ 41.12, I = 35; 2θ 11.61, I = 29; 2θ 42.83, I = 25; 2θ 53.86, I = 24

Atomic structure:
```
data_BaMg2P2
_cell_length_a 4.3906
_cell_length_b 4.3906
_cell_length_c 7.6205
_cell_angle_alpha 90.00
_cell_angle_beta 90.00
_cell_angle_gamma 120.00
_space_group_name_H-M_alt 'P -3 m 1'
_space_group_IT_number 164
_space_group_name_Hall '-P 3 2"'
loop_
_atom_site_label
_atom_site_fract_x
_atom_site_fract_y
_atom_site_fract_z
Ba1 0.0000 0.0000 0.0000
Mg1 0.3333 0.6667 0.3769
P1 0.3333 0.6667 0.7232
```

***

This entry pairs a crystal structure of BaMgPb with its theoretical PXRD pattern. Radiation: Cu Kα. Structure: the GGA-PBE geometry in the Materials Project.
Neutral-atom scattering factors, no anomalous dispersion.

Most intense lines, 10° ≤ 2θ ≤ 90°, most intense first:
2θ 20.32, I = 100; 2θ 32.55, I = 96; 2θ 26.89, I = 85; 2θ 35.28, I = 58; 2θ 47.97, I = 41; 2θ 41.05, I = 35

Atomic structure:
```
data_BaMgPb
_cell_length_a 5.088
_cell_length_b 5.088
_cell_length_c 8.533
_cell_angle_alpha 90.00
_cell_angle_beta 90.00
_cell_angle_gamma 90.00
_space_group_name_H-M_alt 'P 4/n m m'
_space_group_IT_number 129
loop_
_space_group_symop_operation_xyz
'x,y,z'
'-x,-y,-z'
'-y+1/2,x,z'
'y+1/2,-x,-z'
'-x+1/2,-y+1/2,z'
'x+1/2,y+1/2,-z'
'y,-x+1/2,z'
'-y,x+1/2,-z'
'x+1/2,-y,-z'
'-x+1/2,y,z'
'-y,-x,-z'
'y,x,z'
'-x,y+1/2,-z'
'x,-y+1/2,z'
'y+1/2,x+1/2,-z'
'-y+1/2,-x+1/2,z'
loop_
_atom_site_label
_atom_site_fract_x
_atom_site_fract_y
_atom_site_fract_z
Ba1 0.250 0.750 0.000
Mg1 0.250 0.250 0.351
Pb1 0.250 0.250 0.695
```

***

This entry pairs a crystal structure of RbBaMg14 with its theoretical PXRD pattern. Radiation: Cu Kα. Structure: the GGA-PBE geometry in the Materials Project.
Neutral-atom scattering factors, no anomalous dispersion.

Most intense lines, 10° ≤ 2θ ≤ 90°, most intense first:
2θ 34.99, I = 100; 2θ 34.42, I = 51; 2θ 32.53, I = 37; 2θ 17.02, I = 30; 2θ 30.86, I = 28; 2θ 22.06, I = 21

Atomic structure:
```
data_RbBaMg14
_cell_length_a 11.009
_cell_length_b 6.648
_cell_length_c 11.830
_cell_angle_alpha 90.00
_cell_angle_beta 90.00
_cell_angle_gamma 90.00
_space_group_name_H-M_alt 'A m m 2'
_space_group_IT_number 38
loop_
_space_group_symop_operation_xyz
'x,y,z'
'-x,-y,z'
'-x,y,z'
'x,-y,z'
'x,y+1/2,z+1/2'
'-x,-y+1/2,z+1/2'
'-x,y+1/2,z+1/2'
'x,-y+1/2,z+1/2'
loop_
_atom_site_label
_atom_site_fract_x
_atom_site_fract_y
_atom_site_fract_z
Rb1 0.000 0.000 0.000
Ba1 0.000 0.000 0.499
Mg1 0.000 0.246 0.751
Mg2 0.261 0.000 0.175
Mg3 0.261 0.000 0.675
Mg4 0.277 0.250 0.412
Mg5 0.500 0.000 0.004
Mg6 0.500 0.000 0.504
Mg7 0.500 0.249 0.250
```

***

This entry pairs a crystal structure of RbBaMg14 with its theoretical PXRD pattern. Radiation: Cu Kα. Structure: the GGA-PBE geometry in the Materials Project.
Neutral-atom scattering factors, no anomalous dispersion.

Most intense lines, 10° ≤ 2θ ≤ 90°, most intense first:
2θ 34.14, I = 100; 2θ 22.36, I = 40; 2θ 14.62, I = 33; 2θ 29.49, I = 30; 2θ 34.02, I = 22; 2θ 63.89, I = 19

Atomic structure:
```
data_RbBaMg14
_cell_length_a 6.9943
_cell_length_b 6.9943
_cell_length_c 10.5417
_cell_angle_alpha 90.00
_cell_angle_beta 90.00
_cell_angle_gamma 120.00
_space_group_name_H-M_alt 'P -6 m 2'
_space_group_IT_number 187
_space_group_name_Hall 'P -6 2'
loop_
_atom_site_label
_atom_site_fract_x
_atom_site_fract_y
_atom_site_fract_z
Rb1 0.0000 0.0000 0.0000
Ba1 0.0000 0.0000 0.5000
Mg1 0.0059 0.5029 0.0000
Mg2 0.0128 0.5064 0.5000
Mg3 0.1831 0.3663 0.2508
Mg4 0.6667 0.3333 0.2509
```

***

This entry pairs a crystal structure of Ba6MgTi2S10 with its theoretical PXRD pattern. Radiation: Cu Kα. Structure: the GGA-PBE geometry in the Materials Project.
Neutral-atom scattering factors, no anomalous dispersion.

Most intense lines, 10° ≤ 2θ ≤ 90°, most intense first:
2θ 28.87, I = 100; 2θ 22.43, I = 90; 2θ 24.92, I = 90; 2θ 26.72, I = 79; 2θ 30.68, I = 76; 2θ 30.38, I = 61

Atomic structure:
```
data_Ba6MgTi2S10
_cell_length_a 12.836
_cell_length_b 13.347
_cell_length_c 8.463
_cell_angle_alpha 90.00
_cell_angle_beta 129.84
_cell_angle_gamma 90.00
_space_group_name_H-M_alt 'C 1 m 1'
_space_group_IT_number 8
loop_
_space_group_symop_operation_xyz
'x,y,z'
'x,-y,z'
'x+1/2,y+1/2,z'
'x+1/2,-y+1/2,z'
loop_
_atom_site_label
_atom_site_fract_x
_atom_site_fract_y
_atom_site_fract_z
Ba1 0.000 0.000 0.000
Ba2 0.009 0.500 0.363
Ba3 0.108 0.000 0.646
Ba4 0.246 0.500 0.078
Ba5 0.277 0.251 0.445
Mg1 0.426 0.000 0.822
Ti1 0.348 0.242 0.011
S1 0.010 0.350 0.021
S2 0.219 0.352 0.743
S3 0.221 0.138 0.041
S4 0.292 0.000 0.471
S5 0.329 0.500 0.509
S6 0.484 0.341 0.298
```

***

This entry pairs a crystal structure of Ba6MgTi2S10 with its theoretical PXRD pattern. Radiation: Cu Kα. Structure: the GGA-PBE geometry in the Materials Project.
Neutral-atom scattering factors, no anomalous dispersion.

Most intense lines, 10° ≤ 2θ ≤ 90°, most intense first:
2θ 24.89, I = 100; 2θ 27.49, I = 77; 2θ 30.25, I = 72; 2θ 30.49, I = 64; 2θ 23.41, I = 40; 2θ 23.90, I = 39

Atomic structure:
```
data_Ba6MgTi2S10
_cell_length_a 8.496
_cell_length_b 8.968
_cell_length_c 9.151
_cell_angle_alpha 63.05
_cell_angle_beta 62.98
_cell_angle_gamma 86.37
_space_group_name_H-M_alt 'P 1'
_space_group_IT_number 1
loop_
_space_group_symop_operation_xyz
'x,y,z'
loop_
_atom_site_label
_atom_site_fract_x
_atom_site_fract_y
_atom_site_fract_z
Ba1 0.000 0.000 0.000
Ba2 0.016 0.523 0.435
Ba3 0.353 0.324 0.989
Ba4 0.382 0.853 0.555
Ba5 0.501 0.799 0.010
Ba6 0.857 0.504 0.992
Mg1 0.734 0.160 0.613
Ti1 0.456 0.411 0.484
Ti2 0.920 0.908 0.504
S1 0.178 0.661 0.999
S2 0.197 0.902 0.275
S3 0.208 0.470 0.690
S4 0.410 0.384 0.270
S5 0.418 0.120 0.711
S6 0.674 0.659 0.297
S7 0.690 0.683 0.678
S8 0.741 0.221 0.845
S9 0.888 0.176 0.300
S10 0.962 0.921 0.723
```

***

This entry pairs a crystal structure of BaMg6Sb with its theoretical PXRD pattern. Radiation: Cu Kα. Structure: the GGA-PBE geometry in the Materials Project.
Neutral-atom scattering factors, no anomalous dispersion.

Most intense lines, 10° ≤ 2θ ≤ 90°, most intense first:
2θ 34.79, I = 100; 2θ 14.39, I = 56; 2θ 21.91, I = 53; 2θ 33.53, I = 52; 2θ 16.43, I = 47; 2θ 30.45, I = 40

Atomic structure:
```
data_BaMg6Sb
_cell_length_a 5.395
_cell_length_b 6.680
_cell_length_c 12.307
_cell_angle_alpha 90.00
_cell_angle_beta 90.00
_cell_angle_gamma 90.00
_space_group_name_H-M_alt 'A m m 2'
_space_group_IT_number 38
loop_
_space_group_symop_operation_xyz
'x,y,z'
'-x,-y,z'
'-x,y,z'
'x,-y,z'
'x,y+1/2,z+1/2'
'-x,-y+1/2,z+1/2'
'-x,y+1/2,z+1/2'
'x,-y+1/2,z+1/2'
loop_
_atom_site_label
_atom_site_fract_x
_atom_site_fract_y
_atom_site_fract_z
Ba1 0.000 0.000 0.000
Mg1 0.000 0.248 0.248
Mg2 0.500 0.000 0.177
Mg3 0.500 0.000 0.662
Mg4 0.500 0.235 0.401
Sb1 0.000 0.000 0.481
```

***

This entry pairs a crystal structure of BaMg6Sb with its theoretical PXRD pattern. Radiation: Cu Kα. Structure: the GGA-PBE geometry in the Materials Project.
Neutral-atom scattering factors, no anomalous dispersion.

Most intense lines, 10° ≤ 2θ ≤ 90°, most intense first:
2θ 33.83, I = 100; 2θ 14.30, I = 85; 2θ 22.69, I = 43; 2θ 34.25, I = 39; 2θ 30.73, I = 39; 2θ 22.54, I = 35

Atomic structure:
```
data_BaMg6Sb
_cell_length_a 5.117
_cell_length_b 7.193
_cell_length_c 12.189
_cell_angle_alpha 90.00
_cell_angle_beta 90.00
_cell_angle_gamma 90.00
_space_group_name_H-M_alt 'A m m 2'
_space_group_IT_number 38
loop_
_space_group_symop_operation_xyz
'x,y,z'
'-x,-y,z'
'-x,y,z'
'x,-y,z'
'x,y+1/2,z+1/2'
'-x,-y+1/2,z+1/2'
'-x,y+1/2,z+1/2'
'x,-y+1/2,z+1/2'
loop_
_atom_site_label
_atom_site_fract_x
_atom_site_fract_y
_atom_site_fract_z
Ba1 0.000 0.000 0.000
Mg1 0.000 0.000 0.514
Mg2 0.000 0.247 0.750
Mg3 0.500 0.000 0.341
Mg4 0.500 0.212 0.602
Sb1 0.500 0.000 0.815
```

***

This entry pairs a crystal structure of BaMg6Si with its theoretical PXRD pattern. Radiation: Cu Kα. Structure: the GGA-PBE geometry in the Materials Project.
Neutral-atom scattering factors, no anomalous dispersion.

Most intense lines, 10° ≤ 2θ ≤ 90°, most intense first:
2θ 34.22, I = 100; 2θ 23.24, I = 93; 2θ 14.24, I = 54; 2θ 34.41, I = 54; 2θ 28.71, I = 39; 2θ 64.79, I = 30

Atomic structure:
```
data_BaMg6Si
_cell_length_a 4.866
_cell_length_b 7.199
_cell_length_c 12.345
_cell_angle_alpha 90.00
_cell_angle_beta 90.00
_cell_angle_gamma 90.00
_space_group_name_H-M_alt 'A m m 2'
_space_group_IT_number 38
loop_
_space_group_symop_operation_xyz
'x,y,z'
'-x,-y,z'
'-x,y,z'
'x,-y,z'
'x,y+1/2,z+1/2'
'-x,-y+1/2,z+1/2'
'-x,y+1/2,z+1/2'
'x,-y+1/2,z+1/2'
loop_
_atom_site_label
_atom_site_fract_x
_atom_site_fract_y
_atom_site_fract_z
Ba1 0.000 0.000 0.000
Mg1 0.000 0.000 0.486
Mg2 0.000 0.221 0.246
Mg3 0.500 0.000 0.660
Mg4 0.500 0.202 0.386
Si1 0.500 0.000 0.194
```